Simulated X-ray diffraction stick pattern of BaAg2GeAs for Cu Kα X-rays, from the GGA-PBE geometry in OQMD.
No peak broadening, texture or thermal motion is included.

Principal peaks in the range 10 to 90 degrees two-theta, by angle:
index, 2θ (°), intensity
1 0 3, 30.88, 35
1 1 2, 31.69, 100
2 0 0, 38.85, 52
1 1 4, 42.64, 17
1 0 5, 45.21, 18
3 1 2, 65.89, 23

Crystal structure
```
BaAg2GeAs
1.0
4.636 0.000 0.000
0.000 4.636 0.000
0.000 0.000 11.123
Ba Ag Ge As
2 4 2 2
direct
0.000 0.000 0.000
0.500 0.500 0.500
0.000 0.500 0.251
0.000 0.500 0.751
0.500 0.000 0.251
0.500 0.000 0.751
0.000 0.000 0.374
0.500 0.500 0.874
0.000 0.000 0.603
0.500 0.500 0.103
```